Starting from a cell relaxed with PBE, the X-ray powder pattern of K4Ce6F19 was calculated for λ = 1.5418 Å (Cu Kα).
Lines closer than 0.1° are merged.

Top 10 peaks for 15 to 90 degrees two-theta, by intensity:
hkl 3 1 0, 2θ 26.23, d 3.398, rel. 100
hkl 3 2 1, 2θ 31.14, d 2.872, rel. 84
hkl 4 1 3, 2θ 42.92, d 2.107, rel. 62
hkl 2 0 0, 2θ 16.50, d 5.373, rel. 53
hkl 6 0 0, 2θ 51.00, d 1.791, rel. 32
hkl 5 3 2, 2θ 52.50, d 1.743, rel. 27
hkl 4 2 2, 2θ 41.16, d 2.193, rel. 24
hkl 2 1 1, 2θ 20.24, d 4.387, rel. 23
hkl 6 3 1, 2θ 58.23, d 1.584, rel. 19
hkl 5 0 3, 2θ 49.46, d 1.843, rel. 18

Atomic structure:
Lattice parameters (Å, degrees): 10.745 10.745 10.745 90.00 90.00 90.00
Space group I23 (No. 197)
Inequivalent atoms, fractional coordinates:
K: 0.135 0.135 0.865 x8
Ce: 0.000 0.332 0.500 x12
F: 0.000 0.000 0.000 x2
F: 0.000 0.000 0.353 x12
F: 0.032 0.312 0.717 x24



Starting from a cell relaxed with PBE, the X-ray powder pattern of K2CeF5 was calculated for λ = 1.5418 Å (Cu Kα).
Lines closer than 0.1° are merged.

Top 10 peaks for 15 to 90 degrees two-theta, by intensity:
hkl 1 0 1, 2θ 15.36, d 5.767, rel. 100
hkl 1 2 1, 2θ 27.92, d 3.196, rel. 91
hkl 3 0 1, 2θ 27.54, d 3.239, rel. 71
hkl 2 2 0, 2θ 28.29, d 3.155, rel. 56
hkl 2 2 2, 2θ 39.07, d 2.306, rel. 50
hkl 2 0 0, 2θ 16.01, d 5.536, rel. 49
hkl 6 0 0, 2θ 49.39, d 1.845, rel. 47
hkl 0 4 0, 2θ 47.33, d 1.921, rel. 37
hkl 4 2 0, 2θ 40.16, d 2.245, rel. 36
hkl 0 0 2, 2θ 26.38, d 3.378, rel. 34

Atomic structure:
Lattice parameters (Å, degrees): 11.072 7.678 6.756 90.00 90.00 90.00
Space group Pnma (No. 62)
Inequivalent atoms, fractional coordinates:
K: 0.171 0.003 0.027 x8
Ce: 0.002 0.250 0.561 x4
F: 0.010 0.250 0.907 x4
F: 0.083 0.532 0.649 x8
F: 0.170 0.250 0.360 x4
F: 0.198 0.750 0.331 x4



Starting from a cell relaxed with PBE, the X-ray powder pattern of KNa2CeF6 was calculated for λ = 1.5418 Å (Cu Kα).
Lines closer than 0.1° are merged.

Top 10 peaks for 15 to 90 degrees two-theta, by intensity:
hkl 0 1 2, 2θ 20.10, d 4.418, rel. 100
hkl 1 0 4, 2θ 27.98, d 3.189, rel. 86
hkl 1 0 1, 2θ 17.62, d 5.034, rel. 79
hkl 1 1 0, 2θ 29.16, d 3.063, rel. 62
hkl 2 -1 6, 2θ 45.14, d 2.009, rel. 58
hkl 2 -1 3, 2θ 33.76, d 2.655, rel. 53
hkl 0 2 4, 2θ 40.85, d 2.209, rel. 42
hkl 3 -1 4, 2θ 50.97, d 1.792, rel. 41
hkl 3 0 0, 2θ 51.70, d 1.768, rel. 36
hkl 0 0 3, 2θ 16.66, d 5.321, rel. 33

Atomic structure:
Lattice parameters (Å, degrees): 6.1252 6.1252 15.9639 90.00 90.00 120.00
Space group R3 (No. 146, hexagonal axes)
Inequivalent atoms, fractional coordinates:
K: 0.0000 0.0000 0.0000 x3
Na: 0.0000 0.0000 0.2166 x3
Na: 0.0000 0.0000 0.7231 x3
Ce: 0.0000 0.0000 0.5121 x3
F: 0.0219 0.6750 0.7897 x9
F: 0.0878 0.3704 0.2791 x9



Starting from a cell relaxed with PBE, the X-ray powder pattern of K3Ce2O3F4 was calculated for λ = 1.5418 Å (Cu Kα).
Lines closer than 0.1° are merged.

Top 10 peaks for 15 to 90 degrees two-theta, by intensity:
hkl 1 0 1, 2θ 27.62, d 3.230, rel. 100
hkl 0 5 1, 2θ 27.19, d 3.280, rel. 87
hkl 1 5 0, 2θ 28.51, d 3.131, rel. 80
hkl 0 1 1, 2θ 18.90, d 4.695, rel. 57
hkl 0 4 0, 2θ 15.78, d 5.616, rel. 55
hkl 1 1 0, 2θ 20.73, d 4.286, rel. 53
hkl 1 5 2, 2θ 47.74, d 1.905, rel. 43
hkl 1 10 1, 2θ 49.42, d 1.844, rel. 35
hkl 0 0 2, 2θ 37.47, d 2.400, rel. 34
hkl 2 0 0, 2θ 41.36, d 2.183, rel. 33

Atomic structure:
Lattice parameters (Å, degrees): 4.366 22.463 4.801 90.00 90.00 90.00
Space group Imm2 (No. 44)
Inequivalent atoms, fractional coordinates:
K: 0.000 0.000 0.000 x2
K: 0.000 0.189 0.097 x4
Ce: 0.000 0.403 0.056 x4
O: 0.000 0.108 0.602 x4
O: 0.000 0.500 0.059 x2
F: 0.000 0.299 0.933 x4
F: 0.000 0.404 0.558 x4